[1]
The following is a calculated PXRD pattern of Li7Co5O12. It was derived from a structure optimized by DFT (PBE+U), using Cu Kα, 1.54184 Å.

Cell and atoms:
Cell lengths 2.990, 7.525, 9.733 Å; angles 90.94, 97.72, 100.32 degrees
Atoms (fractional coordinates):
Li1 0.000 0.000 0.000
Li2 0.081 0.414 0.752
Li3 0.248 0.254 0.247
Li4 0.422 0.082 0.757
Li5 0.578 0.918 0.243
Li6 0.752 0.746 0.753
Li7 0.919 0.586 0.248
Co1 0.165 0.834 0.501
Co2 0.349 0.677 0.003
Co3 0.500 0.500 0.500
Co4 0.651 0.323 0.997
Co5 0.835 0.166 0.499
O1 0.009 0.218 0.885
O2 0.108 0.626 0.617
O3 0.220 0.040 0.382
O4 0.317 0.469 0.108
O5 0.370 0.847 0.885
O6 0.451 0.293 0.615
O7 0.549 0.707 0.385
O8 0.630 0.153 0.115
O9 0.683 0.531 0.892
O10 0.780 0.960 0.618
O11 0.892 0.374 0.383
O12 0.991 0.782 0.115

Principal peaks in the range 10° ≤ 2θ ≤ 90°, in order of rising 2θ:
| 2θ/deg | I (rel.) |
| --- | --- |
| 11.97 | 9 |
| 18.41 | 100 |
| 35.12 | 18 |
| 35.94 | 14 |
| 37.28 | 15 |
| 42.24 | 33 |
| 43.51 | 29 |
| 45.43 | 25 |
| 62.12 | 9 |
| 62.38 | 8 |
| 63.38 | 8 |
| 64.14 | 15 |

---

[2]
The following is a calculated PXRD pattern of Mn3OF5. It was derived from a structure optimized by DFT (PBE+U), using Cu Kα, 1.54184 Å.

Cell and atoms:
Cell lengths 4.890, 5.897, 8.102 Å; angles 86.74, 88.39, 88.71 degrees
Atoms (fractional coordinates):
Mn1 0.000 0.000 0.000
Mn2 0.017 0.316 0.665
Mn3 0.477 0.847 0.678
Mn4 0.500 0.500 0.000
Mn5 0.523 0.153 0.322
Mn6 0.983 0.684 0.335
O1 0.183 0.036 0.784
O2 0.817 0.964 0.216
F1 0.197 0.705 0.097
F2 0.201 0.374 0.424
F3 0.297 0.201 0.100
F4 0.302 0.535 0.765
F5 0.305 0.869 0.437
F6 0.695 0.131 0.563
F7 0.698 0.465 0.235
F8 0.703 0.799 0.900
F9 0.799 0.626 0.576
F10 0.803 0.295 0.903

Principal peaks in the range 10° ≤ 2θ ≤ 90°, in order of rising 2θ:
| 2θ/deg | I (rel.) |
| --- | --- |
| 25.32 | 100 |
| 26.21 | 95 |
| 32.96 | 50 |
| 33.26 | 51 |
| 37.70 | 22 |
| 49.70 | 34 |
| 49.91 | 34 |
| 50.49 | 30 |
| 51.11 | 28 |
| 52.00 | 21 |
| 63.63 | 23 |
| 64.17 | 22 |